Starting from a crystal structure in Alexandria, relaxed with PBE, the PXRD pattern of La2AlGa6 was simulated for λ = 1.5418 Å (Cu Kα).
No peak broadening, texture or thermal motion is included.

abc: 6.1130 6.1130 5.8016
angles: 90.00 90.00 120.00
Space group P-3m1 (No. 164)
Unique sites:
La1 0.3333 0.6667 0.3464 [2 per cell]
Al1 0.0000 0.0000 0.5000 [1 per cell]
Ga1 0.1774 0.3548 0.8358 [6 per cell]

Most intense lines, 2θ = 10–80°, in order of rising 2θ:
| 2theta | d [Å] | intensity |
| --- | --- | --- |
| 22.74 | 3.911 | 13 |
| 33.13 | 2.704 | 33 |
| 33.86 | 2.647 | 26 |
| 35.28 | 2.544 | 55 |
| 37.34 | 2.408 | 100 |
| 48.10 | 1.892 | 11 |
| 55.81 | 1.647 | 20 |
| 56.29 | 1.634 | 16 |
| 60.59 | 1.528 | 23 |
| 67.34 | 1.391 | 12 |
| 72.10 | 1.310 | 13 |
| 73.37 | 1.290 | 12 |

=====

Starting from a crystal structure in Alexandria, relaxed with PBE, the PXRD pattern of LaAlGa2Ni5 was simulated for λ = 1.5418 Å (Cu Kα).
No peak broadening, texture or thermal motion is included.

abc: 4.520 4.520 7.089
angles: 90.00 90.00 90.00
Space group P4/mmm (No. 123)
Unique sites:
La1 0.000 0.000 0.000 [1 per cell]
Al1 0.000 0.000 0.500 [1 per cell]
Ga1 0.500 0.500 0.320 [2 per cell]
Ni1 0.000 0.500 0.317 [4 per cell]
Ni2 0.500 0.500 0.000 [1 per cell]

Most intense lines, 2θ = 10–80°, in order of rising 2θ:
| 2theta | d [Å] | intensity |
| --- | --- | --- |
| 23.34 | 3.811 | 23 |
| 30.68 | 2.914 | 48 |
| 32.09 | 2.789 | 33 |
| 37.90 | 2.374 | 55 |
| 38.08 | 2.363 | 45 |
| 39.89 | 2.260 | 100 |
| 52.08 | 1.756 | 17 |
| 56.33 | 1.633 | 55 |
| 57.69 | 1.598 | 32 |
| 66.76 | 1.401 | 10 |
| 71.12 | 1.326 | 16 |
| 71.23 | 1.324 | 26 |

=====

Starting from a crystal structure in Alexandria, relaxed with PBE, the PXRD pattern of La2Pm2AlGa4 was simulated for λ = 1.5418 Å (Cu Kα).
No peak broadening, texture or thermal motion is included.

abc: 7.177 7.177 9.077
angles: 90.00 90.00 90.00
Space group I4/mmm (No. 139)
Unique sites:
La1 0.000 0.500 0.250 [4 per cell]
Pm1 0.000 0.000 0.184 [4 per cell]
Al1 0.000 0.000 0.500 [2 per cell]
Ga1 0.245 0.245 0.500 [8 per cell]

Most intense lines, 2θ = 10–80°, in order of rising 2θ:
| 2theta | d [Å] | intensity |
| --- | --- | --- |
| 24.81 | 3.588 | 16 |
| 31.79 | 2.815 | 100 |
| 32.10 | 2.788 | 18 |
| 35.38 | 2.537 | 54 |
| 39.72 | 2.269 | 8 |
| 41.00 | 2.202 | 16 |
| 50.90 | 1.794 | 19 |
| 54.23 | 1.691 | 13 |
| 55.24 | 1.663 | 8 |
| 57.43 | 1.605 | 8 |
| 61.27 | 1.513 | 30 |
| 75.53 | 1.259 | 9 |

=====

Starting from a crystal structure in Alexandria, relaxed with PBE, the PXRD pattern of LaAlGaPt3 was simulated for λ = 1.5418 Å (Cu Kα).
No peak broadening, texture or thermal motion is included.

abc: 6.805 12.541 5.694
angles: 90.00 90.00 90.00
Space group Cmcm (No. 63)
Unique sites:
La1 0.000 0.215 0.250 [4 per cell]
Al1 0.000 0.476 0.250 [4 per cell]
Ga1 0.000 0.127 0.750 [4 per cell]
Pt1 0.000 0.322 0.750 [4 per cell]
Pt2 0.208 0.000 0.000 [8 per cell]

Most intense lines, 2θ = 10–80°, in order of rising 2θ:
| 2theta | d [Å] | intensity |
| --- | --- | --- |
| 14.12 | 6.270 | 27 |
| 28.47 | 3.135 | 26 |
| 29.88 | 2.991 | 100 |
| 32.60 | 2.746 | 25 |
| 34.60 | 2.592 | 82 |
| 39.07 | 2.306 | 19 |
| 41.35 | 2.183 | 80 |
| 42.29 | 2.137 | 24 |
| 42.91 | 2.108 | 20 |
| 53.91 | 1.701 | 21 |
| 61.40 | 1.510 | 22 |
| 65.60 | 1.423 | 31 |

=====

Starting from a crystal structure in Alexandria, relaxed with PBE, the PXRD pattern of LaAl2GaPt4 was simulated for λ = 1.5418 Å (Cu Kα).
No peak broadening, texture or thermal motion is included.

abc: 4.3129 4.3129 26.9699
angles: 90.00 90.00 120.00
Space group R-3m (No. 166, hexagonal axes)
Unique sites:
La1 0.0000 0.0000 0.0000 [3 per cell]
Al1 0.0000 0.0000 0.2398 [6 per cell]
Ga1 0.0000 0.0000 0.5000 [3 per cell]
Pt1 0.0000 0.0000 0.1357 [6 per cell]
Pt2 0.0000 0.0000 0.4052 [6 per cell]

Most intense lines, 2θ = 10–80°, in order of rising 2θ:
| 2theta | d [Å] | intensity |
| --- | --- | --- |
| 24.73 | 3.600 | 23 |
| 27.30 | 3.267 | 43 |
| 29.08 | 3.071 | 21 |
| 33.41 | 2.682 | 63 |
| 35.88 | 2.503 | 53 |
| 41.89 | 2.156 | 100 |
| 44.19 | 2.050 | 43 |
| 50.75 | 1.799 | 18 |
| 67.86 | 1.381 | 32 |
| 71.11 | 1.326 | 19 |
| 76.52 | 1.245 | 17 |
| 78.12 | 1.223 | 16 |

=====

Starting from a crystal structure in Alexandria, relaxed with PBE, the PXRD pattern of LaYAlGa was simulated for λ = 1.5418 Å (Cu Kα).
No peak broadening, texture or thermal motion is included.

abc: 4.213 4.483 11.383
angles: 90.00 90.00 90.00
Space group Amm2 (No. 38)
Unique sites:
La1 0.000 0.000 0.000 [2 per cell]
Y1 0.500 0.000 0.721 [2 per cell]
Al1 0.000 0.000 0.286 [2 per cell]
Ga1 0.500 0.000 0.425 [2 per cell]

Most intense lines, 2θ = 10–80°, in order of rising 2θ:
| 2theta | d [Å] | intensity |
| --- | --- | --- |
| 15.57 | 5.691 | 14 |
| 26.32 | 3.386 | 33 |
| 30.15 | 2.964 | 100 |
| 30.87 | 2.896 | 48 |
| 31.44 | 2.846 | 22 |
| 37.69 | 2.387 | 45 |
| 38.16 | 2.358 | 18 |
| 40.23 | 2.242 | 23 |
| 42.94 | 2.106 | 19 |
| 53.81 | 1.704 | 19 |
| 60.29 | 1.535 | 14 |
| 60.57 | 1.529 | 13 |